No. 1
For Tc, DFT lattice parameters and positions (GGA-PBE) gives the simulated powder diffraction line list in this record (Cu Ka).

Peak list (10 most intense, 15 to 90 degrees two-theta, in order of falling intensity)
d/Å  Rel. int.
2.103  100
2.211  26
2.391  24
1.171  19
1.255  18
1.380  17
1.623  14
1.154  14
1.105  3
1.195  3

```
Tc
1.0
2.761 0.000 0.000
-1.380 2.391 0.000
0.000 0.000 4.421
Tc
2
direct
0.333 0.667 0.250
0.667 0.333 0.750
```



No. 2
For CaMgSiO4, DFT lattice parameters and positions (GGA-PBE) gives the simulated powder diffraction line list in this record (Cu Ka).

Peak list (10 most intense, 15 to 90 degrees two-theta, in order of falling intensity)
d/Å  Rel. int.
2.694  100
3.671  67
2.610  66
1.834  57
2.967  43
1.617  33
3.216  28
1.608  27
4.228  27
2.572  25

```
CaMgSiO4
1.0
11.224 0.000 0.000
0.000 6.431 0.000
0.000 0.000 4.869
Ca Mg Si O
4 4 4 16
direct
0.223 0.250 0.021
0.277 0.750 0.521
0.723 0.250 0.479
0.777 0.750 0.979
0.000 0.000 0.500
0.000 0.500 0.500
0.500 0.000 0.000
0.500 0.500 0.000
0.081 0.750 0.089
0.419 0.250 0.589
0.581 0.750 0.411
0.919 0.250 0.911
0.051 0.250 0.752
0.078 0.750 0.754
0.147 0.545 0.228
0.147 0.955 0.228
0.353 0.045 0.728
0.353 0.455 0.728
0.422 0.250 0.254
0.449 0.750 0.252
0.551 0.250 0.748
0.578 0.750 0.746
0.647 0.545 0.272
0.647 0.955 0.272
0.853 0.045 0.772
0.853 0.455 0.772
0.922 0.250 0.246
0.949 0.750 0.248
```



No. 3
For K2AgAsF6, DFT lattice parameters and positions (GGA-PBE) gives the simulated powder diffraction line list in this record (Cu Ka).

Peak list (10 most intense, 15 to 90 degrees two-theta, in order of falling intensity)
d/Å  Rel. int.
3.165  100
2.238  49
4.476  48
1.827  38
1.583  29
2.002  21
1.196  20
1.416  18
1.492  9
1.292  9

```
K2AgAsF6
1.0
0.000 4.476 4.476
4.476 0.000 4.476
4.476 4.476 0.000
K Ag As F
2 1 1 6
direct
0.250 0.250 0.250
0.750 0.750 0.750
0.000 0.000 0.000
0.500 0.500 0.500
0.270 0.270 0.730
0.270 0.730 0.270
0.270 0.730 0.730
0.730 0.270 0.270
0.730 0.270 0.730
0.730 0.730 0.270
```



No. 4
For RbPrP3HO10, DFT lattice parameters and positions (GGA-PBE) gives the simulated powder diffraction line list in this record (Cu Ka).

Peak list (10 most intense, 15 to 90 degrees two-theta, in order of falling intensity)
d/Å  Rel. int.
3.349  100
3.443  58
3.255  45
3.073  44
3.223  37
3.205  29
3.174  28
2.156  26
3.160  24
4.129  23

```
RbPrP3HO10
1.0
7.199 0.000 0.000
1.018 7.919 0.000
2.623 2.690 8.257
Rb Pr P H O
2 2 6 2 20
direct
0.236 0.166 0.035
0.764 0.834 0.965
0.224 0.134 0.515
0.776 0.866 0.485
0.148 0.538 0.643
0.328 0.821 0.355
0.329 0.721 0.811
0.671 0.279 0.189
0.672 0.179 0.645
0.852 0.462 0.357
0.166 0.595 0.072
0.834 0.405 0.928
0.044 0.361 0.326
0.134 0.933 0.383
0.142 0.339 0.679
0.191 0.881 0.772
0.272 0.613 0.459
0.276 0.562 0.754
0.295 0.627 0.999
0.417 0.828 0.184
0.452 0.872 0.445
0.456 0.252 0.253
0.544 0.748 0.747
0.548 0.128 0.555
0.583 0.172 0.816
0.705 0.373 0.001
0.724 0.438 0.246
0.728 0.387 0.541
0.809 0.119 0.228
0.858 0.661 0.321
0.866 0.067 0.617
0.956 0.639 0.674
```



No. 5
For Na6Bi2PC4O16, DFT lattice parameters and positions (GGA-PBE) gives the simulated powder diffraction line list in this record (Cu Ka).

Peak list (10 most intense, 15 to 90 degrees two-theta, in order of falling intensity)
d/Å  Rel. int.
4.409  100
2.585  63
2.814  58
4.221  50
2.205  48
3.656  39
2.472  38
1.689  28
1.677  28
1.904  26

```
Na6Bi2PC4O16
1.0
0.000 7.312 7.312
7.312 0.000 7.312
7.312 7.312 0.000
Na Bi P C O
12 4 2 8 32
direct
0.070 0.070 0.680
0.070 0.680 0.070
0.070 0.680 0.680
0.320 0.320 0.930
0.320 0.930 0.320
0.320 0.930 0.930
0.680 0.070 0.070
0.680 0.070 0.680
0.680 0.680 0.070
0.930 0.320 0.320
0.930 0.320 0.930
0.930 0.930 0.320
0.000 0.500 0.500
0.500 0.000 0.500
0.500 0.500 0.000
0.500 0.500 0.500
0.125 0.125 0.125
0.875 0.875 0.875
0.273 0.273 0.273
0.273 0.273 0.682
0.273 0.682 0.273
0.318 0.727 0.727
0.682 0.273 0.273
0.727 0.318 0.727
0.727 0.727 0.318
0.727 0.727 0.727
0.063 0.063 0.063
0.063 0.063 0.310
0.063 0.310 0.063
0.144 0.280 0.681
0.144 0.396 0.280
0.144 0.681 0.396
0.280 0.144 0.396
0.280 0.396 0.681
0.280 0.681 0.144
0.310 0.063 0.063
0.319 0.604 0.856
0.319 0.720 0.604
0.319 0.856 0.720
0.396 0.144 0.681
0.396 0.280 0.144
0.396 0.681 0.280
0.604 0.319 0.720
0.604 0.720 0.856
0.604 0.856 0.319
0.681 0.144 0.280
0.681 0.280 0.396
0.681 0.396 0.144
0.690 0.937 0.937
0.720 0.319 0.856
0.720 0.604 0.319
0.720 0.856 0.604
0.856 0.319 0.604
0.856 0.604 0.720
0.856 0.720 0.319
0.937 0.690 0.937
0.937 0.937 0.690
0.937 0.937 0.937
```